RbPuAuCl6: calculated powder XRD pattern (Cu Kα), based on DFT lattice parameters and positions (PBE).
Peak positions follow from Bragg's law for the DFT cell and can differ from measured ones.

Principal peaks in the range 5° ≤ 2θ ≤ 70°, most intense first:
hkl 1 0 2, 18.99°, intensity 100; hkl 1 1 4, 35.31°, intensity 85; hkl 0 0 2, 11.71°, intensity 83; hkl 1 1 2, 28.55°, intensity 51; hkl 1 1 0, 25.95°, intensity 42; hkl 3 0 0, 45.77°, intensity 27; hkl 2 1 2, 41.93°, intensity 26; hkl 2 0 2, 32.35°, intensity 24; hkl 2 -1 6, 44.60°, intensity 23; hkl 1 0 0, 14.90°, intensity 20

Cell and atoms:
Lattice parameters (Å, degrees): 6.867 6.867 15.119 90.00 90.00 120.00
Fractional coordinates of all 18 atoms:
Rb  0.000  0.000  0.000
Rb  0.000  0.000  0.500
Pu  0.333  0.667  0.250
Pu  0.667  0.333  0.750
Au  0.333  0.667  0.750
Au  0.667  0.333  0.250
Cl  0.013  0.368  0.147
Cl  0.013  0.646  0.353
Cl  0.354  0.368  0.353
Cl  0.354  0.987  0.147
Cl  0.368  0.013  0.647
Cl  0.368  0.354  0.853
Cl  0.632  0.646  0.147
Cl  0.632  0.987  0.353
Cl  0.646  0.013  0.853
Cl  0.646  0.632  0.647
Cl  0.987  0.354  0.647
Cl  0.987  0.632  0.853